No. 1
For MgReGeO6, a crystal structure in Alexandria, relaxed with GGA-PBE gives the computed powder diffraction line list in this record (Cu Kα, 1.54184 Å).

Structural model:
```
data_MgReGeO6
_chemical_formula_sum 'Mg2 Re2 Ge2 O12'
_cell_length_a 4.5861
_cell_length_b 4.5861
_cell_length_c 9.1025
_cell_angle_alpha 90.00
_cell_angle_beta 90.00
_cell_angle_gamma 90.00
_space_group_name_H-M_alt 'P 42 n m'
_space_group_IT_number 102
_space_group_name_Hall 'P 4n -2n'
loop_
_atom_site_label
_atom_site_type_symbol
_atom_site_fract_x
_atom_site_fract_y
_atom_site_fract_z
Mg1 Mg 0.0000 0.0000 0.0000
Re1 Re 0.0000 0.0000 0.6672
Ge1 Ge 0.0000 0.0000 0.3336
O1 O 0.1863 0.1863 0.5011
O2 O 0.2059 0.2059 0.1777
O3 O 0.2058 0.2058 0.8259
```

Most intense lines, 10 to 90 degrees two-theta, low angle first:
2θ = 19.50°, I = 27, hkl 0 0 2
2θ = 21.70°, I = 83, hkl 1 0 1
2θ = 27.50°, I = 100, hkl 1 1 0
2θ = 33.94°, I = 25, hkl 1 1 2
2θ = 35.47°, I = 76, hkl 1 0 3
2θ = 39.29°, I = 19, hkl 2 0 0
2θ = 45.32°, I = 23, hkl 2 1 1
2θ = 53.96°, I = 66, hkl 2 1 3
2θ = 56.78°, I = 17, hkl 2 2 0
2θ = 68.76°, I = 20, hkl 3 0 3

=====

No. 2
For Mg2GeRuO6, a crystal structure in Alexandria, relaxed with GGA-PBE gives the computed powder diffraction line list in this record (Cu Kα, 1.54184 Å).

Structural model:
```
data_Mg2GeRuO6
_chemical_formula_sum 'Mg2 Ge1 Ru1 O6'
_cell_length_a 5.2703
_cell_length_b 5.2703
_cell_length_c 4.6099
_cell_angle_alpha 90.00
_cell_angle_beta 90.00
_cell_angle_gamma 90.00
_space_group_name_H-M_alt 'P 4 m m'
_space_group_IT_number 99
_space_group_name_Hall 'P 4 -2'
loop_
_atom_site_label
_atom_site_type_symbol
_atom_site_fract_x
_atom_site_fract_y
_atom_site_fract_z
Mg1 Mg 0.0000 0.5000 0.0000
Ge1 Ge 0.0000 0.0000 0.6581
Ru1 Ru 0.5000 0.5000 0.6712
O1 O 0.0000 0.0000 0.2835
O2 O 0.2415 0.2415 0.8052
O3 O 0.5000 0.5000 0.2782
```

Most intense lines, 10 to 90 degrees two-theta, low angle first:
2θ = 19.25°, I = 79, hkl 0 0 1
2θ = 23.88°, I = 70, hkl 1 1 0
2θ = 30.85°, I = 100, hkl 1 1 1
2θ = 34.02°, I = 41, hkl 2 0 0
2θ = 46.32°, I = 42, hkl 1 1 2
2θ = 48.88°, I = 37, hkl 2 2 0
2θ = 52.76°, I = 19, hkl 2 0 2
2θ = 58.93°, I = 31, hkl 3 1 1
2θ = 69.61°, I = 24, hkl 3 1 2
2θ = 71.01°, I = 19, hkl 2 0 3